Entry 1:
Starting from a PBE-relaxed structure, the X-ray powder pattern of PuS2F4 was calculated for Cu Kα X-rays.
Peak positions follow from Bragg's law for the DFT cell and can differ from measured ones.

Crystal structure
Unit cell a=3.7920 b=3.8856 c=9.3638 alpha=81.18 beta=80.28 gamma=89.89
Space group P-1 (No. 2)
Unique sites:
Pu 0.0000 0.0000 0.0000 [1 per cell]
S 0.1940 0.1066 0.5335 [2 per cell]
F 0.0595 0.5520 0.8652 [2 per cell]
F 0.4412 0.9445 0.1377 [2 per cell]

Most intense lines, 2θ = 10–90°, low angle first:
h k l  d_spacing  two_theta  Rel. int.
0 0 2  4.559  19.47  100
0 1 0  3.838  23.17  67
0 1 1  3.752  23.71  27
1 0 0  3.736  23.81  50
1 0 1  3.685  24.15  36
0 1 2  3.190  27.97  36
1 0 2  3.167  28.18  26
0 1 -2  2.735  32.75  30
1 -1 0  2.711  33.04  26
1 0 3  2.585  34.70  36



Entry 2:
Starting from a PBE-relaxed structure, the X-ray powder pattern of Pu3SF7 was calculated for Cu Kα X-rays.
Peak positions follow from Bragg's law for the DFT cell and can differ from measured ones.

Crystal structure
Unit cell a=7.1914 b=13.6972 c=4.5534 alpha=90.00 beta=90.00 gamma=90.00
Space group Cmmm (No. 65)
Unique sites:
Pu 0.0000 0.0000 0.0000 [2 per cell]
Pu 0.0000 0.3110 0.0000 [4 per cell]
S 0.0000 0.5000 0.0000 [2 per cell]
F 0.0000 0.0000 0.5000 [2 per cell]
F 0.0000 0.2940 0.5000 [4 per cell]
F 0.1762 0.1552 0.0000 [8 per cell]

Most intense lines, 2θ = 10–90°, low angle first:
h k l  d_spacing  two_theta  Rel. int.
0 0 1  4.553  19.50  100
1 3 0  3.855  23.07  96
2 0 0  3.596  24.76  55
1 3 1  2.942  30.38  69
2 0 1  2.822  31.71  42
0 0 2  2.277  39.58  22
3 3 0  2.122  42.60  27
1 3 2  1.960  46.32  32
2 0 2  1.924  47.23  62
4 0 2  1.412  66.19  21



Entry 3:
Starting from a PBE-relaxed structure, the X-ray powder pattern of PuTlSbF6 was calculated for Cu Kα X-rays.
Peak positions follow from Bragg's law for the DFT cell and can differ from measured ones.

Crystal structure
Unit cell a=5.8053 b=5.9725 c=6.5028 alpha=117.09 beta=95.25 gamma=91.00
Space group P1 (No. 1)
Unique sites:
Pu 0.0000 0.0000 0.0000 [1 per cell]
Tl 0.4728 0.6510 0.2964 [1 per cell]
Sb 0.9179 0.2956 0.5947 [1 per cell]
F 0.1319 0.6339 0.7013 [1 per cell]
F 0.1365 0.2998 0.8800 [1 per cell]
F 0.3346 0.0367 0.1931 [1 per cell]
F 0.7626 0.9878 0.6843 [1 per cell]
F 0.8080 0.7714 0.1156 [1 per cell]
F 0.8324 0.3451 0.2522 [1 per cell]

Most intense lines, 2θ = 10–90°, low angle first:
h k l  d_spacing  two_theta  Rel. int.
1 0 0  5.762  15.38  47
1 0 -1  4.322  20.55  67
1 -1 0  4.042  21.99  44
1 1 -1  3.973  22.38  42
1 -1 1  3.832  23.21  64
1 1 0  3.781  23.53  58
0 1 1  3.228  27.64  100
0 2 -1  2.986  29.93  42
2 0 0  2.884  31.01  33
1 0 2  2.467  36.43  32